This entry pairs a crystal structure of Li2VOF3 with its calculated powder XRD pattern. Radiation: copper Kα. Structure: DFT lattice parameters and positions (GGA+U).
Peak positions follow from Bragg's law for the DFT cell and can differ from measured ones.

```
Li2VOF3
1.0
6.021 0.000 0.000
0.000 6.021 0.000
0.000 0.000 8.534
Li V O F
8 4 4 12
direct
0.010 0.238 0.000 Li
0.238 0.990 0.750 Li
0.243 0.738 0.114 Li
0.262 0.243 0.364 Li
0.738 0.757 0.864 Li
0.757 0.262 0.614 Li
0.762 0.010 0.250 Li
0.990 0.762 0.500 Li
0.250 0.506 0.760 V
0.494 0.250 0.010 V
0.506 0.750 0.510 V
0.750 0.494 0.260 V
0.263 0.473 0.980 O
0.473 0.737 0.730 O
0.527 0.263 0.230 O
0.737 0.527 0.480 O
0.011 0.748 0.743 F
0.026 0.255 0.741 F
0.247 0.513 0.510 F
0.252 0.011 0.993 F
0.255 0.974 0.491 F
0.487 0.247 0.760 F
0.513 0.753 0.260 F
0.745 0.026 0.991 F
0.748 0.989 0.493 F
0.753 0.487 0.010 F
0.974 0.745 0.241 F
0.989 0.252 0.243 F
```

Top 8 peaks for 2θ from 10° to 80°, in order of rising 2θ:
2θ 14.71, d = 6.021 Å, I 37
2θ 18.03, d = 4.920 Å, I 86
2θ 23.35, d = 3.810 Å, I 59
2θ 25.59, d = 3.481 Å, I 25
2θ 34.92, d = 2.569 Å, I 42
2θ 42.43, d = 2.130 Å, I 100
2θ 56.12, d = 1.639 Å, I 15
2θ 61.57, d = 1.506 Å, I 60

=====

This entry pairs a crystal structure of Li3CuNi2O6 with its calculated powder XRD pattern. Radiation: copper Kα. Structure: DFT lattice parameters and positions (GGA+U).
Peak positions follow from Bragg's law for the DFT cell and can differ from measured ones.

```
Li3CuNi2O6
1.0
6.194 -1.468 0.000
6.194 1.468 0.000
-1.472 0.000 5.688
Li Cu Ni O
3 1 2 6
direct
0.000 0.000 0.000 Li
0.332 0.332 0.664 Li
0.668 0.668 0.336 Li
0.000 0.000 0.500 Cu
0.332 0.332 0.168 Ni
0.668 0.668 0.832 Ni
0.162 0.162 0.595 O
0.175 0.175 0.077 O
0.489 0.489 0.256 O
0.511 0.511 0.744 O
0.825 0.825 0.923 O
0.838 0.838 0.405 O
```

Top 8 peaks for 2θ from 10° to 80°, in order of rising 2θ:
2θ 18.62, d = 4.766 Å, I 100
2θ 36.06, d = 2.491 Å, I 32
2θ 37.24, d = 2.414 Å, I 12
2θ 43.58, d = 2.077 Å, I 51
2θ 45.37, d = 1.999 Å, I 22
2θ 63.33, d = 1.468 Å, I 14
2θ 64.37, d = 1.447 Å, I 13
2θ 65.09, d = 1.433 Å, I 13

=====

This entry pairs a crystal structure of DyMgMn2O4 with its calculated powder XRD pattern. Radiation: copper Kα. Structure: DFT lattice parameters and positions (GGA+U).
Peak positions follow from Bragg's law for the DFT cell and can differ from measured ones.

```
DyMgMn2O4
1.0
2.937 -1.695 0.000
2.937 1.695 0.000
-1.957 0.000 11.146
Dy Mg Mn O
1 1 2 4
direct
0.000 0.000 0.000 Dy
0.417 0.417 0.255 Mg
0.237 0.237 0.712 Mn
0.823 0.823 0.470 Mn
0.107 0.107 0.325 O
0.301 0.301 0.904 O
0.704 0.704 0.113 O
0.885 0.885 0.656 O
```

Top 8 peaks for 2θ from 10° to 80°, in order of rising 2θ:
2θ 15.90, d = 5.573 Å, I 75
2θ 23.95, d = 3.715 Å, I 56
2θ 30.56, d = 2.925 Å, I 98
2θ 32.31, d = 2.771 Å, I 70
2θ 33.32, d = 2.689 Å, I 100
2θ 35.90, d = 2.502 Å, I 94
2θ 40.90, d = 2.206 Å, I 67
2θ 54.09, d = 1.695 Å, I 71

=====

This entry pairs a crystal structure of Ti2MnP3O12 with its calculated powder XRD pattern. Radiation: copper Kα. Structure: DFT lattice parameters and positions (GGA+U).
Peak positions follow from Bragg's law for the DFT cell and can differ from measured ones.

```
Ti2MnP3O12
1.0
4.339 2.505 7.076
-4.339 2.505 7.076
0.000 -5.010 7.076
Ti Mn P O
4 2 6 24
direct
0.145 0.145 0.145 Ti
0.355 0.355 0.355 Ti
0.645 0.645 0.645 Ti
0.855 0.855 0.855 Ti
0.000 0.000 0.000 Mn
0.500 0.500 0.500 Mn
0.043 0.750 0.457 P
0.250 0.543 0.957 P
0.457 0.043 0.750 P
0.543 0.957 0.250 P
0.750 0.457 0.043 P
0.957 0.250 0.543 P
0.003 0.809 0.617 O
0.059 0.914 0.264 O
0.086 0.736 0.941 O
0.117 0.309 0.503 O
0.191 0.383 0.997 O
0.236 0.586 0.441 O
0.264 0.059 0.914 O
0.309 0.503 0.117 O
0.383 0.997 0.191 O
0.414 0.559 0.764 O
0.441 0.236 0.586 O
0.497 0.883 0.691 O
0.503 0.117 0.309 O
0.559 0.764 0.414 O
0.586 0.441 0.236 O
0.617 0.003 0.809 O
0.691 0.497 0.883 O
0.736 0.941 0.086 O
0.764 0.414 0.559 O
0.809 0.617 0.003 O
0.883 0.691 0.497 O
0.914 0.264 0.059 O
0.941 0.086 0.736 O
0.997 0.191 0.383 O
```

Top 8 peaks for 2θ from 10° to 80°, in order of rising 2θ:
2θ 20.47, d = 4.339 Å, I 65
2θ 24.06, d = 3.699 Å, I 100
2θ 32.66, d = 2.742 Å, I 68
2θ 35.85, d = 2.505 Å, I 29
2θ 46.85, d = 1.939 Å, I 24
2θ 49.27, d = 1.850 Å, I 25
2θ 56.09, d = 1.640 Å, I 31
2θ 62.43, d = 1.488 Å, I 21

=====

This entry pairs a crystal structure of LaMn2BiO6 with its calculated powder XRD pattern. Radiation: copper Kα. Structure: DFT lattice parameters and positions (GGA+U).
Peak positions follow from Bragg's law for the DFT cell and can differ from measured ones.

```
LaMn2BiO6
1.0
7.724 0.000 0.000
0.000 5.550 0.000
0.000 0.000 5.914
La Mn Bi O
2 4 2 12
direct
0.000 0.238 0.000 La
0.000 0.762 0.500 La
0.252 0.248 0.561 Mn
0.252 0.752 0.061 Mn
0.748 0.248 0.561 Mn
0.748 0.752 0.061 Mn
0.500 0.262 0.129 Bi
0.500 0.738 0.629 Bi
0.000 0.336 0.582 O
0.000 0.664 0.082 O
0.206 0.034 0.247 O
0.206 0.966 0.747 O
0.296 0.464 0.878 O
0.296 0.536 0.378 O
0.500 0.151 0.529 O
0.500 0.849 0.029 O
0.704 0.464 0.878 O
0.704 0.536 0.378 O
0.794 0.034 0.247 O
0.794 0.966 0.747 O
```

Top 8 peaks for 2θ from 10° to 80°, in order of rising 2θ:
2θ 21.96, d = 4.047 Å, I 25
2θ 24.84, d = 3.585 Å, I 27
2θ 30.22, d = 2.957 Å, I 21
2θ 32.04, d = 2.794 Å, I 100
2θ 32.26, d = 2.775 Å, I 26
2θ 44.79, d = 2.024 Å, I 20
2θ 50.53, d = 1.806 Å, I 20
2θ 57.38, d = 1.606 Å, I 23

=====

Question: Which formula does entry 5 have?
Answer: LaMn2BiO6